Record 1
Structure and computed X-ray diffraction stick pattern of TaSe2 (a crystal structure in the Materials Project, relaxed with PBE; Cu Kα (λ = 1.5418 Å)).
Neutral-atom scattering factors, no anomalous dispersion.

Structural model:
a b c (Å): 3.5029 3.5029 21.5664
angles (deg): 90.00 90.00 120.00
Atoms (fractional coordinates):
Ta (0.0000, 0.0000, 0.0000)
Ta (0.3333, 0.6667, 0.6667)
Ta (0.6667, 0.3333, 0.3333)
Se (0.0000, 0.0000, 0.2566)
Se (0.0000, 0.0000, 0.7434)
Se (0.3333, 0.6667, 0.4101)
Se (0.3333, 0.6667, 0.9232)
Se (0.6667, 0.3333, 0.0768)
Se (0.6667, 0.3333, 0.5899)

Main lines, low angle first (2θ from 10° to 90°):
| hkl | 2θ/deg | I/Imax |
| --- | --- | --- |
| 0 0 3 | 12.3 | 100 |
| 1 0 1 | 29.7 | 29 |
| 1 0 4 | 33.9 | 78 |
| 0 1 5 | 36.2 | 12 |
| 1 0 7 | 41.8 | 20 |
| 0 1 8 | 45.0 | 34 |
| 1 1 0 | 52.2 | 23 |
| 1 1 3 | 53.9 | 15 |
| 0 2 4 | 63.7 | 13 |
| 1 1 12 | 75.8 | 14 |

=====

Record 2
Structure and computed X-ray diffraction stick pattern of Ta2Se (a crystal structure in the Materials Project, relaxed with PBE; Cu Kα (λ = 1.5418 Å)).
Neutral-atom scattering factors, no anomalous dispersion.

Structural model:
a b c (Å): 3.4043 3.4043 10.3380
angles (deg): 90.00 90.00 90.00
Atoms (fractional coordinates):
Ta (0.2500, 0.2500, 0.0731)
Ta (0.2500, 0.2500, 0.7696)
Ta (0.7500, 0.7500, 0.2304)
Ta (0.7500, 0.7500, 0.9269)
Se (0.2500, 0.2500, 0.3493)
Se (0.7500, 0.7500, 0.6507)

Main lines, low angle first (2θ from 10° to 90°):
| hkl | 2θ/deg | I/Imax |
| --- | --- | --- |
| 0 0 2 | 17.2 | 10 |
| 1 0 3 | 37.1 | 100 |
| 1 1 0 | 37.4 | 70 |
| 1 1 1 | 38.4 | 13 |
| 1 0 4 | 44.0 | 43 |
| 2 0 0 | 53.9 | 25 |
| 2 1 3 | 67.2 | 36 |
| 2 1 4 | 72.0 | 20 |
| 1 1 7 | 75.5 | 14 |
| 2 0 7 | 87.4 | 10 |